Structure and computed X-ray powder pattern of Ce2Ir7 (a crystal structure in Alexandria, relaxed with GGA-PBE; Cu Kα (λ = 1.5418 Å)).

Top 10 peaks for 2θ from 10° to 90°, by angle:
| two_theta | I (rel.) | h k l |
| --- | --- | --- |
| 19.4 | 28 | 1 0 1 |
| 33.7 | 19 | 1 1 0 |
| 39.2 | 25 | 0 2 1 |
| 39.6 | 100 | 1 1 9 |
| 41.0 | 31 | 0 0 18 |
| 43.3 | 37 | 2 0 8 |
| 45.5 | 20 | 0 2 10 |
| 64.2 | 24 | 3 0 9 |
| 70.8 | 26 | 2 2 0 |
| 85.2 | 23 | 2 2 18 |

Cell and atoms:
abc: 5.3203 5.3203 39.6352
angles: 90.00 90.00 120.00
Space group R-3m (No. 166, hexagonal axes)
Symmetry-distinct sites (fractional):
Ce (0.0000, 0.0000, 0.0499) x6
Ce (0.0000, 0.0000, 0.1470) x6
Ir (0.0000, 0.0000, 0.2779) x6
Ir (0.0000, 0.0000, 0.3890) x6
Ir (0.0000, 0.0000, 0.5000) x3
Ir (0.0000, 0.5000, 0.0000) x9
Ir (0.0021, 0.5011, 0.8897) x18